Entry 1:
This entry pairs a crystal structure of PaMnAgO6 with its simulated powder diffractogram. Radiation: Cu Kα (λ = 1.5418 Å). Structure: a cell relaxed with PBE+U.
No peak broadening, texture or thermal motion is included.

Largest 10 diffraction maxima, sorted by position, 10° ≤ 2θ ≤ 80°:
2θ (°)  d_spacing  I/Imax
19.6  4.534  21
27.1  3.294  100
34.3  2.618  33
42.7  2.119  8
44.2  2.049  27
51.7  1.768  32
57.1  1.614  25
61.3  1.511  11
61.5  1.507  10
78.7  1.216  10

Cell and atoms:
```
PaMnAgO6
1.0
5.236 0.000 0.000
-2.618 4.534 0.000
0.000 0.000 4.794
Pa Mn Ag O
1 1 1 6
direct
0.000 0.000 0.000
0.667 0.333 0.500
0.333 0.667 0.500
0.358 0.035 0.734
0.358 0.323 0.266
0.677 0.035 0.266
0.677 0.642 0.734
0.965 0.323 0.734
0.965 0.642 0.266
```

---

Entry 2:
This entry pairs a crystal structure of MnAg3Pd3O8 with its simulated powder diffractogram. Radiation: Cu Kα (λ = 1.5418 Å). Structure: a cell relaxed with PBE+U.
No peak broadening, texture or thermal motion is included.

Largest 10 diffraction maxima, sorted by position, 10° ≤ 2θ ≤ 80°:
2θ (°)  d_spacing  I/Imax
16.8  5.268  29
28.1  3.171  65
34.0  2.634  100
34.5  2.600  47
37.6  2.391  48
38.8  2.318  22
50.7  1.799  19
51.0  1.789  37
58.7  1.572  23
59.1  1.563  24

Cell and atoms:
```
MnAg3Pd3O8
1.0
5.374 -3.200 0.000
5.374 3.200 0.000
-3.716 0.000 6.341
Mn Ag Pd O
1 3 3 8
direct
0.000 0.000 0.000
0.000 0.500 0.500
0.500 0.000 0.500
0.500 0.500 0.500
0.000 0.500 0.000
0.500 0.000 0.000
0.500 0.500 0.000
0.115 0.115 0.857
0.119 0.600 0.834
0.393 0.393 0.171
0.400 0.881 0.166
0.600 0.119 0.834
0.607 0.607 0.829
0.881 0.400 0.166
0.885 0.885 0.143
```

---

Entry 3:
This entry pairs a crystal structure of Pr2MnAgO5 with its simulated powder diffractogram. Radiation: Cu Kα (λ = 1.5418 Å). Structure: a cell relaxed with PBE+U.
No peak broadening, texture or thermal motion is included.

Largest 10 diffraction maxima, sorted by position, 10° ≤ 2θ ≤ 80°:
2θ (°)  d_spacing  I/Imax
15.4  5.756  19
29.2  3.060  23
30.4  2.941  100
31.1  2.878  36
33.2  2.702  61
37.2  2.419  23
41.7  2.164  20
43.2  2.096  43
49.2  1.852  20
64.8  1.438  21

Cell and atoms:
```
Pr2MnAgO5
1.0
6.842 0.000 0.000
0.000 6.842 0.000
0.000 0.000 5.756
Pr Mn Ag O
4 2 2 10
direct
0.178 0.322 0.000
0.322 0.822 0.000
0.678 0.178 0.000
0.822 0.678 0.000
0.000 0.500 0.500
0.500 0.000 0.500
0.000 0.000 0.500
0.500 0.500 0.500
0.000 0.000 0.000
0.133 0.633 0.258
0.133 0.633 0.742
0.367 0.133 0.258
0.367 0.133 0.742
0.500 0.500 0.000
0.633 0.867 0.258
0.633 0.867 0.742
0.867 0.367 0.258
0.867 0.367 0.742
```

---

Entry 4:
This entry pairs a crystal structure of MnAgPtO4 with its simulated powder diffractogram. Radiation: Cu Kα (λ = 1.5418 Å). Structure: a cell relaxed with PBE+U.
No peak broadening, texture or thermal motion is included.

Largest 10 diffraction maxima, sorted by position, 10° ≤ 2θ ≤ 80°:
2θ (°)  d_spacing  I/Imax
17.8  4.985  61
28.4  3.138  28
29.8  2.999  30
33.0  2.712  100
33.5  2.674  59
34.2  2.621  33
34.5  2.603  26
53.3  1.717  19
55.0  1.670  26
58.9  1.569  39

Cell and atoms:
```
MnAgPtO4
1.0
-2.999 3.232 4.481
2.999 -3.232 4.481
2.999 3.232 -4.481
Mn Ag Pt O
2 2 2 8
direct
0.500 0.000 0.000
0.500 0.500 0.500
0.101 0.351 0.750
0.899 0.649 0.250
0.000 0.000 0.000
0.500 0.000 0.500
0.272 0.238 0.466
0.272 0.806 0.034
0.279 0.228 0.050
0.322 0.772 0.550
0.678 0.228 0.450
0.721 0.772 0.950
0.728 0.194 0.966
0.728 0.762 0.534
```

---

What did the first record say?
This entry pairs a crystal structure of PaMnAgO6 with its simulated powder diffractogram. Radiation: Cu Kα (λ = 1.5418 Å). Structure: a cell relaxed with PBE+U.
No peak broadening, texture or thermal motion is included.

Largest 10 diffraction maxima, sorted by position, 10° ≤ 2θ ≤ 80°:
2θ (°)  d_spacing  I/Imax
19.6  4.534  21
27.1  3.294  100
34.3  2.618  33
42.7  2.119  8
44.2  2.049  27
51.7  1.768  32
57.1  1.614  25
61.3  1.511  11
61.5  1.507  10
78.7  1.216  10

Cell and atoms:
```
PaMnAgO6
1.0
5.236 0.000 0.000
-2.618 4.534 0.000
0.000 0.000 4.794
Pa Mn Ag O
1 1 1 6
direct
0.000 0.000 0.000
0.667 0.333 0.500
0.333 0.667 0.500
0.358 0.035 0.734
0.358 0.323 0.266
0.677 0.035 0.266
0.677 0.642 0.734
0.965 0.323 0.734
0.965 0.642 0.266
```